Computed powder diffractogram of ScZnPS2 for a wavelength of 1.5418 Å, from a GGA-PBE-relaxed structure.
Lines closer than 0.1° are merged.

Largest 12 diffraction maxima, in order of falling intensity, 5 to 70 degrees two-theta:
2theta  I/Imax  (hkl)
31.4  100  1 1 1
37.1  91  2 0 0
25.3  82  1 0 1
51.9  64  2 0 2
35.0  54  0 0 2
26.0  34  1 1 0
45.4  33  2 1 1
65.5  30  2 2 2
53.4  29  2 2 0
63.3  23  3 1 1
44.1  16  1 1 2
60.5  13  1 1 3

Structural model:
```
data_ScZnPS2
_chemical_formula_sum 'Sc1 Zn1 P1 S2'
_cell_length_a 4.8508
_cell_length_b 4.8508
_cell_length_c 5.1319
_cell_angle_alpha 90.00
_cell_angle_beta 90.00
_cell_angle_gamma 90.00
_space_group_name_H-M_alt 'P 4/m m m'
_space_group_IT_number 123
_space_group_name_Hall '-P 4 2'
loop_
_atom_site_label
_atom_site_type_symbol
_atom_site_fract_x
_atom_site_fract_y
_atom_site_fract_z
Sc1 Sc 0.0000 0.0000 0.0000
Zn1 Zn 0.5000 0.5000 0.5000
P1 P 0.0000 0.0000 0.5000
S1 S 0.0000 0.5000 0.0000
```